Diffraction record for Cs2LiCrC6N6. The powder diffractogram is simulated, not measured: it uses a structure optimized by DFT (PBE) and Cu Kα X-rays.
No peak broadening, texture or thermal motion is included.

The 12 most intense peaks (10 to 80 degrees two-theta), most intense first:
(2 0 -2), 2θ = 23.2°, 3.836 Å, I = 100; (2 0 0), 2θ = 28.5°, 3.133 Å, I = 48; (2 2 -2), 2θ = 33.1°, 2.710 Å, I = 28; (1 3 1), 2θ = 40.7°, 2.217 Å, I = 25; (1 1 -1), 2θ = 16.3°, 5.426 Å, I = 23; (2 2 2), 2θ = 47.4°, 1.919 Å, I = 19; (2 2 0), 2θ = 37.0°, 2.429 Å, I = 15; (0 0 4), 2θ = 32.9°, 2.719 Å, I = 15; (2 4 -2), 2θ = 53.4°, 1.715 Å, I = 13; (3 1 -1), 2θ = 40.8°, 2.211 Å, I = 12; (2 4 2), 2θ = 64.1°, 1.452 Å, I = 11; (1 1 5), 2θ = 53.3°, 1.719 Å, I = 9

Crystal structure
Unit cell a=7.652 b=7.677 c=13.287 alpha=90.00 beta=125.05 gamma=90.00
Space group P2_1/c (No. 14)
One atom of each set of equivalent atoms:
Cs: 0.249 0.007 0.250 x4
Li: 0.500 0.000 0.000 x2
Cr: 0.000 0.000 0.500 x2
C: 0.166 0.207 0.500 x4
C: 0.188 0.000 0.687 x4
C: 0.207 0.666 0.999 x4
N: 0.262 0.173 0.000 x4
N: 0.297 0.002 0.795 x4
N: 0.325 0.738 0.498 x4

Diffraction record for Cs2LiCrC6N6. The powder diffractogram is simulated, not measured: it uses a structure optimized by DFT (PBE) and Cu Kα X-rays.
No peak broadening, texture or thermal motion is included.

The 12 most intense peaks (10 to 80 degrees two-theta), most intense first:
(2 0 0), 2θ = 23.2°, 3.838 Å, I = 100; (2 0 2), 2θ = 28.5°, 3.134 Å, I = 47; (0 0 4), 2θ = 33.0°, 2.714 Å, I = 43; (3 1 2), 2θ = 40.7°, 2.216 Å, I = 38; (4 0 0), 2θ = 47.4°, 1.919 Å, I = 23; (2 2 2), 2θ = 37.0°, 2.427 Å, I = 23; (1 1 0), 2θ = 16.3°, 5.427 Å, I = 23; (4 2 4), 2θ = 64.2°, 1.451 Å, I = 19; (4 2 0), 2θ = 53.4°, 1.715 Å, I = 18; (1 1 6), 2θ = 53.3°, 1.719 Å, I = 9; (3 1 4), 2θ = 50.4°, 1.810 Å, I = 8; (5 1 2), 2θ = 64.3°, 1.450 Å, I = 8

Crystal structure
Unit cell a=7.669 b=7.669 c=10.874 alpha=90.00 beta=90.00 gamma=90.00
Space group P4/mnc (No. 128)
One atom of each set of equivalent atoms:
Cs: 0.000 0.500 0.250 x4
Li: 0.000 0.000 0.000 x2
Cr: 0.000 0.000 0.500 x2
C: 0.000 0.000 0.312 x4
C: 0.163 0.210 0.500 x8
N: 0.000 0.000 0.204 x4
N: 0.169 0.243 0.000 x8

Diffraction record for CsMnCrC6N6. The powder diffractogram is simulated, not measured: it uses a structure optimized by DFT (PBE) and Cu Kα X-rays.
No peak broadening, texture or thermal motion is included.

The 12 most intense peaks (10 to 80 degrees two-theta), most intense first:
(2 2 0), 2θ = 23.2°, 3.832 Å, I = 100; (1 1 1), 2θ = 14.2°, 6.257 Å, I = 79; (4 0 0), 2θ = 33.1°, 2.709 Å, I = 55; (3 1 1), 2θ = 27.3°, 3.268 Å, I = 50; (4 2 2), 2θ = 40.8°, 2.212 Å, I = 32; (6 2 0), 2θ = 53.5°, 1.714 Å, I = 30; (4 4 0), 2θ = 47.5°, 1.916 Å, I = 29; (6 4 2), 2θ = 64.3°, 1.448 Å, I = 27; (3 3 1), 2θ = 36.1°, 2.486 Å, I = 24; (5 3 1), 2θ = 49.8°, 1.832 Å, I = 19; (5 1 1), 2θ = 43.4°, 2.086 Å, I = 19; (2 2 2), 2θ = 28.5°, 3.128 Å, I = 17

Crystal structure
Unit cell a=10.837 b=10.837 c=10.837 alpha=90.00 beta=90.00 gamma=90.00
Space group F-43m (No. 216)
One atom of each set of equivalent atoms:
Cs: 0.000 0.000 0.000 x4
Mn: 0.250 0.250 0.250 x4
Cr: 0.250 0.250 0.750 x4
C: 0.062 0.250 0.750 x24
N: 0.047 0.250 0.250 x24

Diffraction record for Dy2Cr2C3. The powder diffractogram is simulated, not measured: it uses a structure optimized by DFT (PBE) and Cu Kα X-rays.
No peak broadening, texture or thermal motion is included.

The 12 most intense peaks (10 to 80 degrees two-theta), most intense first:
(1 1 1), 2θ = 33.9°, 2.646 Å, I = 100; (3 1 -1), 2θ = 38.4°, 2.346 Å, I = 88; (2 0 -2), 2θ = 33.3°, 2.693 Å, I = 48; (2 0 1), 2θ = 27.4°, 3.252 Å, I = 43; (1 1 0), 2θ = 27.9°, 3.193 Å, I = 40; (4 0 0), 2θ = 35.8°, 2.511 Å, I = 34; (1 1 -2), 2θ = 42.0°, 2.149 Å, I = 30; (2 0 -1), 2θ = 20.7°, 4.300 Å, I = 29; (4 0 -1), 2θ = 35.1°, 2.558 Å, I = 23; (5 1 0), 2θ = 53.1°, 1.725 Å, I = 22; (0 2 0), 2θ = 54.5°, 1.684 Å, I = 18; (2 2 -2), 2θ = 65.4°, 1.428 Å, I = 18

Crystal structure
Unit cell a=10.439 b=3.368 c=5.583 alpha=90.00 beta=105.84 gamma=90.00
Space group C2/m (No. 12)
One atom of each set of equivalent atoms:
Dy: 0.106 0.000 0.317 x4
Cr: 0.157 0.500 0.891 x4
C: 0.000 0.500 0.000 x2
C: 0.215 0.000 0.770 x4

Diffraction record for Sm4Cr3Fe31C4. The powder diffractogram is simulated, not measured: it uses a structure optimized by DFT (PBE) and Cu Kα X-rays.
No peak broadening, texture or thermal motion is included.

The 12 most intense peaks (10 to 80 degrees two-theta), most intense first:
(0 2 -4), 2θ = 41.9°, 2.157 Å, I = 100; (3 0 0), 2θ = 42.3°, 2.136 Å, I = 96; (2 2 4), 2θ = 43.7°, 2.071 Å, I = 57; (1 -2 2), 2θ = 36.1°, 2.490 Å, I = 54; (2 1 0), 2θ = 29.9°, 2.989 Å, I = 51; (0 0 6), 2θ = 42.4°, 2.131 Å, I = 48; (0 2 4), 2θ = 37.6°, 2.390 Å, I = 30; (1 0 -4), 2θ = 32.5°, 2.754 Å, I = 20; (2 1 2), 2θ = 31.2°, 2.869 Å, I = 16; (1 2 8), 2θ = 61.8°, 1.502 Å, I = 16; (2 2 -8), 2θ = 76.5°, 1.245 Å, I = 15; (2 3 -4), 2θ = 61.0°, 1.518 Å, I = 14

Crystal structure
Unit cell a=6.480 b=6.488 c=12.934 alpha=83.44 beta=83.58 gamma=83.47
Space group P1 (No. 1)
One atom of each set of equivalent atoms:
Sm: 0.000 0.000 0.000 x1
Sm: 0.002 0.002 0.500 x1
Sm: 0.674 0.703 0.351 x1
Sm: 0.677 0.707 0.853 x1
Cr: 0.249 0.266 0.132 x1
Cr: 0.422 0.438 0.219 x1
Cr: 0.430 0.446 0.722 x1
Fe: 0.047 0.635 0.677 x1
Fe: 0.048 0.352 0.817 x1
Fe: 0.048 0.636 0.177 x1
Fe: 0.049 0.354 0.317 x1
Fe: 0.192 0.692 0.847 x1
Fe: 0.192 0.693 0.346 x1
Fe: 0.244 0.259 0.629 x1
Fe: 0.336 0.351 0.925 x1
Fe: 0.336 0.352 0.424 x1
Fe: 0.336 0.634 0.034 x1
Fe: 0.336 0.850 0.676 x1
Fe: 0.337 0.067 0.816 x1
Fe: 0.337 0.633 0.534 x1
Fe: 0.337 0.851 0.175 x1
Fe: 0.338 0.070 0.316 x1
Fe: 0.479 0.009 0.505 x1
Fe: 0.480 0.012 0.004 x1
Fe: 0.621 0.348 0.532 x1
Fe: 0.622 0.064 0.674 x1
Fe: 0.623 0.350 0.033 x1
Fe: 0.625 0.066 0.173 x1
Fe: 0.675 0.694 0.104 x1
Fe: 0.676 0.208 0.847 x1
Fe: 0.677 0.209 0.346 x1
Fe: 0.677 0.695 0.603 x1
Fe: 0.835 0.352 0.676 x1
Fe: 0.836 0.352 0.175 x1
Fe: 0.997 0.009 0.247 x1
Fe: 0.997 0.495 0.504 x1
Fe: 0.998 0.008 0.747 x1
Fe: 0.998 0.494 0.004 x1
C: 0.836 0.352 0.926 x1
C: 0.836 0.852 0.175 x1
C: 0.836 0.852 0.676 x1
C: 0.837 0.352 0.425 x1

Diffraction record for Sm2CrFe16C2. The powder diffractogram is simulated, not measured: it uses a structure optimized by DFT (PBE) and Cu Kα X-rays.
No peak broadening, texture or thermal motion is included.

The 12 most intense peaks (10 to 80 degrees two-theta), most intense first:
(0 4 0), 2θ = 41.9°, 2.158 Å, I = 100; (0 0 3), 2θ = 42.2°, 2.141 Å, I = 73; (3 3 0), 2θ = 42.3°, 2.138 Å, I = 69; (1 1 -2), 2θ = 29.8°, 2.999 Å, I = 58; (1 3 1), 2θ = 36.0°, 2.492 Å, I = 55; (4 0 -2), 2θ = 43.4°, 2.085 Å, I = 52; (4 0 0), 2θ = 37.5°, 2.399 Å, I = 46; (2 2 -4), 2θ = 61.7°, 1.502 Å, I = 23; (4 2 0), 2θ = 43.2°, 2.095 Å, I = 22; (2 2 1), 2θ = 32.5°, 2.756 Å, I = 20; (2 0 -2), 2θ = 31.0°, 2.885 Å, I = 18; (4 2 1), 2θ = 47.4°, 1.917 Å, I = 18

Crystal structure
Unit cell a=9.707 b=8.625 c=6.511 alpha=90.00 beta=99.05 gamma=90.00
Space group Cm (No. 8)
One atom of each set of equivalent atoms:
Sm: 0.000 0.000 0.000 x2
Sm: 0.206 0.500 0.325 x2
Cr: 0.262 0.000 0.752 x2
Fe: 0.000 0.358 0.944 x4
Fe: 0.015 0.000 0.515 x2
Fe: 0.106 0.249 0.660 x4
Fe: 0.197 0.500 0.803 x2
Fe: 0.214 0.141 0.372 x4
Fe: 0.255 0.244 0.000 x4
Fe: 0.355 0.000 0.158 x2
Fe: 0.356 0.284 0.661 x4
Fe: 0.448 0.000 0.569 x2
Fe: 0.455 0.244 0.322 x4
C: 0.105 0.250 0.160 x4

Diffraction record for Ta6Cr3Fe3C2. The powder diffractogram is simulated, not measured: it uses a structure optimized by DFT (PBE) and Cu Kα X-rays.
No peak broadening, texture or thermal motion is included.

The 12 most intense peaks (10 to 80 degrees two-theta), most intense first:
(3 0 3), 2θ = 41.0°, 2.200 Å, I = 100; (3 1 2), 2θ = 38.6°, 2.334 Å, I = 58; (3 5 2), 2θ = 69.8°, 1.348 Å, I = 36; (0 0 4), 2θ = 31.3°, 2.858 Å, I = 31; (0 3 1), 2θ = 34.2°, 2.624 Å, I = 26; (2 2 4), 2θ = 44.8°, 2.022 Å, I = 25; (2 3 5), 2θ = 57.5°, 1.602 Å, I = 15; (5 3 2), 2θ = 69.9°, 1.346 Å, I = 14; (0 1 1), 2θ = 13.4°, 6.601 Å, I = 12; (3 0 7), 2θ = 66.9°, 1.398 Å, I = 11; (2 1 7), 2θ = 62.3°, 1.490 Å, I = 7; (2 0 0), 2θ = 22.0°, 4.042 Å, I = 6

Crystal structure
Unit cell a=8.067 b=8.094 c=11.444 alpha=90.00 beta=90.00 gamma=90.00
Space group Imm2 (No. 44)
One atom of each set of equivalent atoms:
Ta: 0.000 0.000 0.000 x2
Ta: 0.000 0.000 0.390 x2
Ta: 0.000 0.500 0.140 x2
Ta: 0.000 0.500 0.750 x2
Ta: 0.195 0.195 0.195 x8
Ta: 0.195 0.306 0.945 x8
Cr: 0.000 0.249 0.571 x4
Cr: 0.000 0.345 0.368 x4
Cr: 0.249 0.000 0.820 x4
Fe: 0.000 0.152 0.771 x4
Fe: 0.153 0.000 0.618 x4
Fe: 0.156 0.500 0.525 x4
C: 0.000 0.249 0.070 x4
C: 0.250 0.000 0.320 x4

Diffraction record for Cr2GaC. The powder diffractogram is simulated, not measured: it uses a structure optimized by DFT (PBE) and Cu Kα X-rays.
No peak broadening, texture or thermal motion is included.

The 12 most intense peaks (10 to 80 degrees two-theta), most intense first:
(1 0 3), 2θ = 42.3°, 2.137 Å, I = 100; (1 0 0), 2θ = 36.1°, 2.488 Å, I = 21; (0 0 6), 2θ = 43.3°, 2.089 Å, I = 18; (1 1 0), 2θ = 64.9°, 1.436 Å, I = 18; (1 0 6), 2θ = 57.6°, 1.600 Å, I = 15; (1 0 9), 2θ = 78.8°, 1.215 Å, I = 14; (1 0 2), 2θ = 39.0°, 2.312 Å, I = 2; (2 0 0), 2θ = 76.6°, 1.244 Å, I = 2; (1 0 1), 2θ = 36.8°, 2.440 Å, I = 2; (0 0 4), 2θ = 28.5°, 3.133 Å, I = 2; (1 0 5), 2θ = 51.8°, 1.766 Å, I = 1; (1 1 4), 2θ = 72.4°, 1.306 Å, I = 1

Crystal structure
Unit cell a=2.8726 b=2.8726 c=12.5318 alpha=90.00 beta=90.00 gamma=120.00
Space group P6_3/mmc (No. 194)
One atom of each set of equivalent atoms:
Cr: 0.3333 0.6667 0.0846 x4
Ga: 0.3333 0.6667 0.7500 x2
C: 0.0000 0.0000 0.0000 x2